Simulated X-ray powder pattern of Rb2Ba8CaSb6O2 for λ = 1.5418 Å (Cu Kα), from the GGA-PBE geometry in Alexandria.
Peak positions follow from Bragg's law for the DFT cell and can differ from measured ones.

The 12 most intense peaks (2θ = 5–70°), in order of rising 2θ:
d_spacing	2θ (°)	I/Imax
3.432	25.96	100
3.401	26.21	44
3.279	27.20	25
3.251	27.43	72
3.003	29.75	51
2.901	30.82	50
2.650	33.82	21
2.564	34.99	19
2.181	41.41	22
2.005	45.22	18
1.775	51.49	21
1.689	54.33	19

Structural model:
Cell: 10.469 10.469 9.262 Å, 113.72 113.72 105.65°
Positions (direct):
Rb  0.000  0.000  0.000
Rb  0.593  0.407  0.000
Ba  0.097  0.217  0.788
Ba  0.098  0.587  0.213
Ba  0.347  0.421  0.553
Ba  0.413  0.902  0.787
Ba  0.579  0.653  0.447
Ba  0.615  0.139  0.546
Ba  0.783  0.903  0.212
Ba  0.861  0.385  0.454
Ca  0.179  0.821  0.000
Sb  0.204  0.008  0.473
Sb  0.362  0.638  0.000
Sb  0.414  0.205  0.186
Sb  0.795  0.586  0.814
Sb  0.808  0.192  0.000
Sb  0.992  0.796  0.527
O  0.359  0.641  0.500
O  0.845  0.155  0.500